1.
Structure and calculated powder diffraction line list of TbHo3Au (DFT lattice parameters and positions (PBE); Cu Kα X-rays).
No peak broadening, texture or thermal motion is included.

Structural model:
a b c (Å): 5.1676 8.3721 6.6740
angles (deg): 90.00 90.00 90.00
Atoms (fractional coordinates):
Tb1 0.2500 0.2500 0.0805
Tb2 0.7500 0.7500 0.9195
Ho1 0.2500 0.5484 0.7076
Ho2 0.2500 0.7500 0.2245
Ho3 0.2500 0.9516 0.7076
Ho4 0.7500 0.0484 0.2924
Ho5 0.7500 0.2500 0.7755
Ho6 0.7500 0.4516 0.2924
Au1 0.2500 0.2500 0.5074
Au2 0.7500 0.7500 0.4926

Largest 12 diffraction maxima, sorted by position, 2θ from 10° to 80°:
21.22°, d 4.186, I 16; 30.57°, d 2.924, I 100; 31.92°, d 2.803, I 26; 33.72°, d 2.658, I 89; 34.37°, d 2.609, I 20; 34.72°, d 2.584, I 54; 34.85°, d 2.575, I 18; 36.60°, d 2.456, I 27; 43.23°, d 2.093, I 17; 49.65°, d 1.836, I 19; 56.60°, d 1.626, I 17; 64.86°, d 1.438, I 26

=====

2.
Structure and calculated powder diffraction line list of Tb5HoAu6 (DFT lattice parameters and positions (PBE); Cu Kα X-rays).
No peak broadening, texture or thermal motion is included.

Structural model:
a b c (Å): 8.8803 8.8803 8.8803
angles (deg): 146.43 132.56 59.36
Atoms (fractional coordinates):
Tb1 0.0000 0.0000 0.0000
Tb2 0.1666 0.6666 0.5000
Tb3 0.3331 0.3331 0.0000
Tb4 0.6669 0.6669 0.0000
Tb5 0.8334 0.3334 0.5000
Ho1 0.5000 0.0000 0.5000
Au1 0.0862 0.8345 0.2516
Au2 0.2531 0.5000 0.7531
Au3 0.4171 0.1655 0.2516
Au4 0.5829 0.8345 0.7484
Au5 0.7469 0.5000 0.2469
Au6 0.9138 0.1655 0.7484

Largest 12 diffraction maxima, sorted by position, 2θ from 10° to 80°:
24.51°, d 3.632, I 1; 34.89°, d 2.572, I 26; 34.99°, d 2.565, I 26; 35.24°, d 2.547, I 100; 50.24°, d 1.816, I 18; 51.15°, d 1.786, I 9; 62.79°, d 1.480, I 19; 62.92°, d 1.477, I 19; 63.44°, d 1.466, I 18; 73.67°, d 1.286, I 3; 73.91°, d 1.282, I 3; 74.52°, d 1.273, I 12

=====

3.
Structure and calculated powder diffraction line list of Tb3Ho3Au4 (DFT lattice parameters and positions (PBE); Cu Kα X-rays).
No peak broadening, texture or thermal motion is included.

Structural model:
a b c (Å): 3.7911 8.1775 8.1775
angles (deg): 90.52 90.00 90.00
Atoms (fractional coordinates):
Tb1 0.0000 0.0000 0.0000
Tb2 0.0000 0.1761 0.5025
Tb3 0.0000 0.5025 0.1761
Ho1 0.0000 0.6740 0.6740
Ho2 0.5000 0.3384 0.8391
Ho3 0.5000 0.8391 0.3384
Au1 0.5000 0.2054 0.2054
Au2 0.5000 0.4724 0.4724
Au3 0.5000 0.7037 0.9686
Au4 0.5000 0.9686 0.7037

Largest 12 diffraction maxima, sorted by position, 2θ from 10° to 80°:
23.47°, d 3.791, I 13; 32.20°, d 2.780, I 29; 34.00°, d 2.637, I 99; 34.13°, d 2.627, I 100; 34.59°, d 2.593, I 49; 34.79°, d 2.579, I 48; 44.31°, d 2.044, I 14; 47.99°, d 1.896, I 26; 60.50°, d 1.530, I 20; 60.63°, d 1.527, I 20; 66.11°, d 1.413, I 19; 66.51°, d 1.406, I 18